Starting from a crystal structure in the Materials Project, relaxed with GGA-PBE, the powder diffraction line list of Sr2TmRuO6 was calculated for Cu Kα (λ = 1.5418 Å).
No peak broadening, texture or thermal motion is included.

Top 10 peaks for 15 to 90 degrees two-theta, in order of falling intensity:
Position (°2θ)  I_rel
30.75  100
30.86  99
54.73  61
44.13  57
21.65  23
54.94  22
72.90  17
64.29  16
64.06  16
89.59  11

Atomic structure:
```
Sr2TmRuO6
1.0
5.796 0.000 0.000
0.000 5.818 0.000
-5.761 0.000 8.204
Sr Tm Ru O
4 2 2 12
direct
0.243 0.029 0.249
0.243 0.471 0.749
0.757 0.529 0.251
0.757 0.971 0.751
0.500 0.000 0.000
0.500 0.500 0.500
0.000 0.000 0.500
0.000 0.500 0.000
0.166 0.228 0.964
0.166 0.272 0.464
0.234 0.704 0.965
0.234 0.796 0.465
0.304 0.015 0.737
0.304 0.485 0.237
0.696 0.515 0.763
0.696 0.985 0.263
0.766 0.204 0.535
0.766 0.296 0.035
0.834 0.728 0.536
0.834 0.772 0.036
```